Calculated powder diffraction line list
Compound: BaTl6Sb2
Radiation: Cu Kα
Structure: a structure optimized by DFT (GGA-PBE)
Lines closer than 0.1° are merged.

The 12 most intense peaks (5° ≤ 2θ ≤ 70°), by angle:
| d_spacing | 2θ/deg | I_rel |
| --- | --- | --- |
| 12.903 | 6.85 | 26 |
| 3.223 | 27.68 | 16 |
| 3.026 | 29.52 | 100 |
| 2.680 | 33.43 | 42 |
| 2.581 | 34.76 | 15 |
| 2.423 | 37.11 | 41 |
| 1.937 | 46.91 | 13 |
| 1.766 | 51.76 | 19 |
| 1.713 | 53.49 | 15 |
| 1.623 | 56.71 | 10 |
| 1.491 | 62.28 | 25 |
| 1.443 | 64.57 | 12 |

Structure:
```
BaTl6Sb2
1.0
4.845 0.000 0.000
0.000 4.845 0.000
0.000 0.000 12.903
Ba Tl Sb
1 6 2
direct
0.000 0.000 0.000
0.000 0.000 0.500
0.000 0.500 0.287
0.000 0.500 0.713
0.500 0.000 0.287
0.500 0.000 0.713
0.500 0.500 0.500
0.500 0.500 0.113
0.500 0.500 0.887
```

Calculated powder diffraction line list
Compound: RbErGa2I6
Radiation: Cu Kα
Structure: a structure optimized by DFT (GGA-PBE)
Lines closer than 0.1° are merged.

The 12 most intense peaks (5° ≤ 2θ ≤ 70°), by angle:
| d_spacing | 2θ/deg | I_rel |
| --- | --- | --- |
| 6.853 | 12.92 | 22 |
| 6.076 | 14.58 | 26 |
| 4.461 | 19.90 | 14 |
| 3.640 | 24.45 | 100 |
| 2.799 | 31.97 | 75 |
| 2.451 | 36.66 | 17 |
| 2.395 | 37.55 | 43 |
| 2.159 | 41.84 | 25 |
| 1.964 | 46.23 | 12 |
| 1.820 | 50.12 | 15 |
| 1.487 | 62.46 | 13 |
| 1.449 | 64.28 | 14 |

Structure:
```
RbErGa2I6
1.0
8.293 0.000 0.000
4.146 7.190 0.000
4.144 2.396 7.586
Rb Er Ga I
1 1 2 6
direct
0.000 0.000 0.000
0.511 0.511 0.465
0.187 0.186 0.440
0.695 0.695 0.914
0.135 0.747 0.677
0.335 0.549 0.212
0.441 0.135 0.677
0.549 0.903 0.212
0.748 0.441 0.677
0.903 0.335 0.212
```

Calculated powder diffraction line list
Compound: Li7ZrS6
Radiation: Cu Kα
Structure: a structure optimized by DFT (GGA-PBE)
Lines closer than 0.1° are merged.

The 12 most intense peaks (5° ≤ 2θ ≤ 70°), by angle:
| d_spacing | 2θ/deg | I_rel |
| --- | --- | --- |
| 5.950 | 14.89 | 24 |
| 5.741 | 15.43 | 88 |
| 5.015 | 17.68 | 64 |
| 3.594 | 24.77 | 16 |
| 3.017 | 29.61 | 100 |
| 2.273 | 39.65 | 12 |
| 2.267 | 39.76 | 56 |
| 2.220 | 40.65 | 13 |
| 2.021 | 44.85 | 41 |
| 1.726 | 53.07 | 20 |
| 1.679 | 54.66 | 13 |
| 1.509 | 61.44 | 16 |

Structure:
```
Li7ZrS6
1.0
3.501 2.021 5.950
-3.501 2.021 5.950
0.000 -4.042 5.950
Li Zr S
7 1 6
direct
0.000 0.000 0.000
0.152 0.736 0.435
0.193 0.535 0.921
0.435 0.152 0.736
0.535 0.921 0.193
0.736 0.435 0.152
0.921 0.193 0.535
0.662 0.662 0.662
0.035 0.420 0.774
0.270 0.879 0.595
0.420 0.774 0.035
0.595 0.270 0.879
0.774 0.035 0.420
0.879 0.595 0.270
```